1.
This entry pairs a crystal structure of RbNa8Li2 with its calculated powder diffraction line list. Radiation: Cu Kα, 1.54184 Å. Structure: a PBE-relaxed structure.

Most intense lines, 10 to 90 degrees two-theta, sorted by position:
2θ (°)	intensity
12.87	1000
17.47	524
19.17	524
25.10	514
25.90	683
27.76	338
29.77	913
30.24	260
34.91	517
43.48	449

Structure:
```
data_RbNa8Li2
_chemical_formula_sum 'Rb1 Na8 Li2'
_symmetry_space_group_name_H-M 'P 1'
_symmetry_Int_Tables_number 1
_cell_length_a 11.819
_cell_length_b 11.819
_cell_length_c 11.819
_cell_angle_alpha 144.18
_cell_angle_beta 144.18
_cell_angle_gamma 51.56
loop_
_symmetry_equiv_pos_as_xyz
'x,y,z'
loop_
_atom_site_label
_atom_site_fract_x
_atom_site_fract_y
_atom_site_fract_z
_atom_site_occupancy
Rb1 0.000 0.000 0.000 1
Na1 0.091 0.091 0.502 1
Na2 0.091 0.589 0.000 1
Na3 0.411 0.411 0.502 1
Na4 0.411 0.909 0.000 1
Na5 0.589 0.091 0.000 1
Na6 0.589 0.589 0.498 1
Na7 0.909 0.411 0.000 1
Na8 0.909 0.909 0.498 1
Li1 0.250 0.750 0.500 1
Li2 0.750 0.250 0.500 1
```

=====

2.
This entry pairs a crystal structure of NaLi2SnRu with its calculated powder diffraction line list. Radiation: Cu Kα, 1.54184 Å. Structure: a PBE-relaxed structure.

Most intense lines, 10 to 90 degrees two-theta, sorted by position:
2θ (°)	intensity
24.01	1000
25.14	639
32.52	195
35.85	299
41.54	337
43.61	415
49.17	243
58.24	124
65.77	126
68.31	154

Structure:
```
data_NaLi2SnRu
_chemical_formula_sum 'Na1 Li2 Sn1 Ru1'
_symmetry_space_group_name_H-M 'P 1'
_symmetry_Int_Tables_number 1
_cell_length_a 5.010
_cell_length_b 5.010
_cell_length_c 5.507
_cell_angle_alpha 90.00
_cell_angle_beta 90.00
_cell_angle_gamma 90.00
loop_
_symmetry_equiv_pos_as_xyz
'x,y,z'
loop_
_atom_site_label
_atom_site_fract_x
_atom_site_fract_y
_atom_site_fract_z
_atom_site_occupancy
Na1 0.000 0.000 0.000 1
Li1 0.000 0.500 0.500 1
Li2 0.500 0.000 0.500 1
Sn1 0.000 0.000 0.500 1
Ru1 0.500 0.500 0.000 1
```

=====

3.
This entry pairs a crystal structure of Na3LiS2 with its calculated powder diffraction line list. Radiation: Cu Kα, 1.54184 Å. Structure: a PBE-relaxed structure.

Most intense lines, 10 to 90 degrees two-theta, sorted by position:
2θ (°)	intensity
24.32	599
24.58	682
27.15	441
31.06	560
33.96	327
34.13	1000
38.65	619
41.60	552
41.72	930
46.24	762

Structure:
```
data_Na3LiS2
_chemical_formula_sum 'Na6 Li2 S4'
_symmetry_space_group_name_H-M 'P 1'
_symmetry_Int_Tables_number 1
_cell_length_a 7.923
_cell_length_b 7.923
_cell_length_c 7.923
_cell_angle_alpha 131.03
_cell_angle_beta 66.90
_cell_angle_gamma 137.38
loop_
_symmetry_equiv_pos_as_xyz
'x,y,z'
loop_
_atom_site_label
_atom_site_fract_x
_atom_site_fract_y
_atom_site_fract_z
_atom_site_occupancy
Na1 0.186 0.679 0.865 1
Na2 0.250 0.250 0.000 1
Na3 0.314 0.179 0.492 1
Na4 0.686 0.821 0.508 1
Na5 0.750 0.750 0.000 1
Na6 0.814 0.321 0.135 1
Li1 0.250 0.750 0.500 1
Li2 0.750 0.250 0.500 1
S1 0.112 0.281 0.393 1
S2 0.388 0.781 0.169 1
S3 0.612 0.219 0.831 1
S4 0.888 0.719 0.607 1
```